Entry 1:
Diffraction record for Tm6Hg2Te3Pb. The XRD peak list is simulated, not measured: it uses a cell relaxed with GGA-PBE and copper Kα.
Intensities are scaled so that the largest is 100.

Top 8 peaks for 2θ = 10–90°, sorted by position:
hkl 1 1 -2, d = 3.038 Å, I 100; hkl 6 0 0, d = 3.027 Å, I 52; hkl 3 1 2, d = 2.420 Å, I 16; hkl 7 1 -2, d = 2.255 Å, I 45; hkl 2 0 -4, d = 2.192 Å, I 11; hkl 0 2 0, d = 2.107 Å, I 22; hkl 5 1 2, d = 2.048 Å, I 24; hkl 6 2 0, d = 1.729 Å, I 21

Structural model:
```
data_Tm6Hg2Te3Pb
_symmetry_space_group_name_H-M 'C 1 2/m 1'
_symmetry_Int_Tables_number 12
_cell_length_a 19.4480
_cell_length_b 4.2132
_cell_length_c 8.8524
_cell_angle_alpha 90.00
_cell_angle_beta 110.96
_cell_angle_gamma 90.00
loop_
_symmetry_equiv_pos_as_xyz
'x,y,z'
'-x,-y,-z'
'-x,y,-z'
'x,-y,z'
'x+1/2,y+1/2,z'
'-x+1/2,-y+1/2,-z'
'-x+1/2,y+1/2,-z'
'x+1/2,-y+1/2,z'
loop_
_atom_site_label
_atom_site_type_symbol
_atom_site_fract_x
_atom_site_fract_y
_atom_site_fract_z
Tm1 Tm 0.0126 0.0000 0.2557
Tm2 Tm 0.1634 0.5000 0.6171
Tm3 Tm 0.1711 0.5000 0.1318
Hg1 Hg 0.1849 0.0000 0.3916
Te1 Te 0.0000 0.5000 0.5000
Te2 Te 0.1609 0.0000 0.8660
Pb1 Pb 0.0000 0.5000 0.0000
```

Entry 2:
Diffraction record for ErBeRh. The XRD peak list is simulated, not measured: it uses a cell relaxed with GGA-PBE and copper Kα.
Intensities are scaled so that the largest is 100.

Top 8 peaks for 2θ = 10–90°, sorted by position:
hkl 0 1 1, d = 4.327 Å, I 62; hkl 1 1 2, d = 2.528 Å, I 73; hkl 2 0 0, d = 2.482 Å, I 44; hkl 1 2 1, d = 2.284 Å, I 100; hkl 2 1 1, d = 2.153 Å, I 25; hkl 1 0 3, d = 2.093 Å, I 37; hkl 3 2 1, d = 1.392 Å, I 20; hkl 2 2 4, d = 1.264 Å, I 23

Structural model:
```
data_ErBeRh
_symmetry_space_group_name_H-M 'I m m a'
_symmetry_Int_Tables_number 74
_symmetry_space_group_name_Hall '-I 2b 2'
_cell_length_a 4.9636
_cell_length_b 5.5424
_cell_length_c 6.9257
_cell_angle_alpha 90.00
_cell_angle_beta 90.00
_cell_angle_gamma 90.00
loop_
_atom_site_label
_atom_site_type_symbol
_atom_site_fract_x
_atom_site_fract_y
_atom_site_fract_z
Er1 Er 0.0000 0.2500 0.1233
Be1 Be 0.2500 0.2500 0.7500
Rh1 Rh 0.0000 0.0000 0.5000
```

Entry 3:
Diffraction record for Ba3AcPr2S6. The XRD peak list is simulated, not measured: it uses a cell relaxed with GGA-PBE and copper Kα.
Intensities are scaled so that the largest is 100.

Top 8 peaks for 2θ = 10–90°, sorted by position:
hkl 0 0 2, d = 3.612 Å, I 21; hkl 2 0 0, d = 3.528 Å, I 56; hkl 1 3 1, d = 3.073 Å, I 100; hkl 2 0 2, d = 2.192 Å, I 37; hkl 0 6 0, d = 2.154 Å, I 36; hkl 3 3 1, d = 1.850 Å, I 20; hkl 4 0 0, d = 1.764 Å, I 19; hkl 4 6 0, d = 1.365 Å, I 16

Structural model:
```
data_Ba3AcPr2S6
_symmetry_space_group_name_H-M 'C 1 2/m 1'
_symmetry_Int_Tables_number 12
_cell_length_a 7.4643
_cell_length_b 12.9212
_cell_length_c 7.6418
_cell_angle_alpha 90.00
_cell_angle_beta 109.02
_cell_angle_gamma 90.00
loop_
_symmetry_equiv_pos_as_xyz
'x,y,z'
'-x,-y,-z'
'-x,y,-z'
'x,-y,z'
'x+1/2,y+1/2,z'
'-x+1/2,-y+1/2,-z'
'-x+1/2,y+1/2,-z'
'x+1/2,-y+1/2,z'
loop_
_atom_site_label
_atom_site_type_symbol
_atom_site_fract_x
_atom_site_fract_y
_atom_site_fract_z
Ba1 Ba 0.0000 0.0000 0.0000
Ba2 Ba 0.0000 0.3342 0.0000
Ac1 Ac 0.0000 0.5000 0.5000
Pr1 Pr 0.0000 0.1665 0.5000
S1 S 0.2352 0.0000 0.7246
S2 S 0.2452 0.3301 0.7258
```